# RbZr2Fe
Computed XRD peak list, copper Kα. Input: a DFT-relaxed cell (GGA-PBE, Alexandria).

a = 10.574 Å, b = 10.574 Å, c = 10.574 Å
α = 90.00°, β = 90.00°, γ = 90.00°
Space group Fd-3m (No. 227, origin choice 2)
Symmetry-distinct sites (fractional):
Rb: 0.125 0.125 0.125 x8
Zr: 0.000 0.000 0.500 x16
Fe: 0.125 0.125 0.625 x8

Principal peaks in the range 2θ from 15° to 90°, low angle first:
2θ/deg, Rel. int., hkl
23.8, 100, 2 2 0
28.0, 78, 3 1 1
29.3, 64, 2 2 2
41.9, 43, 4 2 2
44.5, 29, 5 1 1
48.7, 71, 4 4 0
54.9, 19, 6 2 0
57.8, 27, 6 2 2
66.1, 21, 6 4 2
68.1, 18, 7 3 1